[1]
TbTh2OsC2: simulated X-ray diffraction stick pattern (Cu Ka), based on a crystal structure in Alexandria, relaxed with GGA-PBE.
Lines closer than 0.1° are merged.

Top 10 peaks for 15 to 90 degrees two-theta, sorted by position:
28.43°, rel. 11, hkl 1 3 0; 30.83°, rel. 29, hkl 2 0 0; 31.94°, rel. 18, hkl 0 4 0; 32.39°, rel. 100, hkl 1 2 1; 33.65°, rel. 10, hkl 0 3 1; 43.29°, rel. 9, hkl 1 5 0; 45.00°, rel. 12, hkl 2 4 0; 47.87°, rel. 11, hkl 0 0 2; 55.82°, rel. 17, hkl 3 2 1; 58.03°, rel. 11, hkl 2 0 2

Structure:
```
data_TbTh2OsC2
_chemical_formula_sum 'Tb2 Th4 Os2 C4'
_cell_length_a 5.800
_cell_length_b 11.203
_cell_length_c 3.800
_cell_angle_alpha 90.00
_cell_angle_beta 90.00
_cell_angle_gamma 90.00
_symmetry_space_group_name_H-M 'P n n m'
_symmetry_Int_Tables_number 58
_symmetry_space_group_name_Hall '-P 2 2n'
loop_
_atom_site_label
_atom_site_type_symbol
_atom_site_fract_x
_atom_site_fract_y
_atom_site_fract_z
Tb1 Tb 0.000 0.000 0.000
Th1 Th 0.039 0.293 0.500
Os1 Os 0.000 0.500 0.000
C1 C 0.225 0.887 0.500
```


[2]
TbPr5YTm2: simulated X-ray diffraction stick pattern (Cu Ka), based on a crystal structure in Alexandria, relaxed with GGA-PBE.
Lines closer than 0.1° are merged.

Top 10 peaks for 15 to 90 degrees two-theta, sorted by position:
26.31°, rel. 11, hkl 1 3 2; 27.11°, rel. 14, hkl 0 6 1; 29.89°, rel. 32, hkl 1 1 3; 31.55°, rel. 100, hkl 1 5 2; 31.73°, rel. 35, hkl 2 0 0; 33.40°, rel. 15, hkl 0 0 4; 46.74°, rel. 12, hkl 2 0 4; 56.41°, rel. 19, hkl 3 5 2; 57.65°, rel. 9, hkl 1 11 3; 60.47°, rel. 10, hkl 2 6 5

Structure:
```
data_TbPr5YTm2
_chemical_formula_sum 'Tb4 Pr20 Y4 Tm8'
_cell_length_a 5.640
_cell_length_b 20.733
_cell_length_c 10.731
_cell_angle_alpha 90.00
_cell_angle_beta 90.00
_cell_angle_gamma 90.00
_symmetry_space_group_name_H-M 'C m c 21'
_symmetry_Int_Tables_number 36
_symmetry_space_group_name_Hall 'C 2c -2'
loop_
_atom_site_label
_atom_site_type_symbol
_atom_site_fract_x
_atom_site_fract_y
_atom_site_fract_z
Tb1 Tb 0.000 0.200 0.000
Pr1 Pr 0.000 0.013 0.997
Pr2 Pr 0.000 0.278 0.697
Pr3 Pr 0.000 0.295 0.304
Pr4 Pr 0.000 0.383 0.992
Pr5 Pr 0.000 0.486 0.266
Y1 Y 0.000 0.405 0.543
Tm1 Tm 0.000 0.114 0.270
Tm2 Tm 0.000 0.114 0.711
```


[3]
Th2PtAu: simulated X-ray diffraction stick pattern (Cu Ka), based on a crystal structure in Alexandria, relaxed with GGA-PBE.
Lines closer than 0.1° are merged.

Top 10 peaks for 15 to 90 degrees two-theta, sorted by position:
30.58°, rel. 100, hkl 1 1 -2; 30.73°, rel. 100, hkl 0 1 2; 31.83°, rel. 71, hkl 2 0 0; 37.63°, rel. 34, hkl 2 1 0; 38.09°, rel. 71, hkl 2 1 -2; 38.46°, rel. 67, hkl 1 1 2; 39.71°, rel. 58, hkl 0 2 0; 44.83°, rel. 40, hkl 1 0 -4; 51.76°, rel. 37, hkl 2 2 0; 61.41°, rel. 32, hkl 1 2 -4

Structure:
```
data_Th2PtAu
_chemical_formula_sum 'Th4 Pt2 Au2'
_cell_length_a 6.000
_cell_length_b 4.540
_cell_length_c 8.088
_cell_angle_alpha 90.00
_cell_angle_beta 110.42
_cell_angle_gamma 90.00
_symmetry_space_group_name_H-M 'P 1 21/m 1'
_symmetry_Int_Tables_number 11
_symmetry_space_group_name_Hall '-P 2yb'
loop_
_atom_site_label
_atom_site_type_symbol
_atom_site_fract_x
_atom_site_fract_y
_atom_site_fract_z
Th1 Th 0.221 0.250 0.437
Th2 Th 0.229 0.250 0.923
Pt1 Pt 0.309 0.750 0.703
Au1 Au 0.320 0.750 0.206
```


[4]
Pu2HfGe2: simulated X-ray diffraction stick pattern (Cu Ka), based on a crystal structure in Alexandria, relaxed with GGA-PBE.
Lines closer than 0.1° are merged.

Top 10 peaks for 15 to 90 degrees two-theta, sorted by position:
26.48°, rel. 26, hkl 2 1 0; 28.14°, rel. 51, hkl 1 1 1; 35.03°, rel. 100, hkl 2 1 1; 37.80°, rel. 49, hkl 3 1 0; 45.96°, rel. 18, hkl 0 0 2; 49.38°, rel. 14, hkl 3 2 1; 53.98°, rel. 23, hkl 4 0 1; 60.97°, rel. 25, hkl 3 1 2; 71.63°, rel. 16, hkl 5 2 1; 77.89°, rel. 20, hkl 2 1 3

Structure:
```
data_Pu2HfGe2
_chemical_formula_sum 'Pu4 Hf2 Ge4'
_cell_length_a 7.526
_cell_length_b 7.526
_cell_length_c 3.950
_cell_angle_alpha 90.00
_cell_angle_beta 90.00
_cell_angle_gamma 90.00
_symmetry_space_group_name_H-M 'P 4/m b m'
_symmetry_Int_Tables_number 127
_symmetry_space_group_name_Hall '-P 4 2ab'
loop_
_atom_site_label
_atom_site_type_symbol
_atom_site_fract_x
_atom_site_fract_y
_atom_site_fract_z
Pu1 Pu 0.133 0.367 0.000
Hf1 Hf 0.000 0.000 0.500
Ge1 Ge 0.168 0.668 0.500
```


[5]
PaTc2WN6: simulated X-ray diffraction stick pattern (Cu Ka), based on a crystal structure in Alexandria, relaxed with GGA-PBE.
Lines closer than 0.1° are merged.

Top 10 peaks for 15 to 90 degrees two-theta, sorted by position:
21.82°, rel. 24, hkl 0 1 0; 22.77°, rel. 37, hkl 1 1 1; 23.64°, rel. 33, hkl 1 0 -1; 29.64°, rel. 67, hkl 1 0 1; 32.01°, rel. 100, hkl 1 1 -1; 32.77°, rel. 55, hkl -1 1 1; 33.73°, rel. 54, hkl 1 2 1; 34.05°, rel. 52, hkl 2 1 0; 37.02°, rel. 23, hkl 0 0 2; 44.48°, rel. 24, hkl 0 2 0

Structure:
```
data_PaTc2WN6
_chemical_formula_sum 'Pa1 Tc2 W1 N6'
_cell_length_a 5.283
_cell_length_b 5.321
_cell_length_c 5.627
_cell_angle_alpha 62.21
_cell_angle_beta 87.44
_cell_angle_gamma 62.37
_symmetry_space_group_name_H-M 'P 1'
_symmetry_Int_Tables_number 1
_symmetry_space_group_name_Hall 'P 1'
loop_
_atom_site_label
_atom_site_type_symbol
_atom_site_fract_x
_atom_site_fract_y
_atom_site_fract_z
Pa1 Pa 0.000 0.000 0.000
Tc1 Tc 0.316 0.393 0.915
Tc2 Tc 0.798 0.441 0.375
W1 W 0.562 0.932 0.517
N1 N 0.059 0.476 0.151
N2 N 0.247 0.878 0.691
N3 N 0.439 0.890 0.198
N4 N 0.590 0.196 0.679
N5 N 0.677 0.234 0.203
N6 N 0.926 0.532 0.671
```


[6]
MgMn2Co: simulated X-ray diffraction stick pattern (Cu Ka), based on a crystal structure in Alexandria, relaxed with GGA-PBE.
Lines closer than 0.1° are merged.

Top 10 peaks for 15 to 90 degrees two-theta, sorted by position:
22.91°, rel. 23, hkl 0 1 1; 41.44°, rel. 29, hkl 0 2 0; 42.35°, rel. 20, hkl 0 0 4; 42.55°, rel. 100, hkl 1 1 2; 44.13°, rel. 11, hkl 1 0 3; 60.75°, rel. 13, hkl 0 2 4; 62.75°, rel. 9, hkl 2 0 0; 76.35°, rel. 15, hkl 1 3 2; 77.60°, rel. 8, hkl 1 1 6; 78.02°, rel. 9, hkl 2 2 0

Structure:
```
data_MgMn2Co
_chemical_formula_sum 'Mg2 Mn4 Co2'
_cell_length_a 2.962
_cell_length_b 4.358
_cell_length_c 8.537
_cell_angle_alpha 90.00
_cell_angle_beta 90.00
_cell_angle_gamma 90.00
_symmetry_space_group_name_H-M 'I m m m'
_symmetry_Int_Tables_number 71
_symmetry_space_group_name_Hall '-I 2 2'
loop_
_atom_site_label
_atom_site_type_symbol
_atom_site_fract_x
_atom_site_fract_y
_atom_site_fract_z
Mg1 Mg 0.000 0.000 0.000
Mn1 Mn 0.000 0.500 0.221
Co1 Co 0.000 0.000 0.500
```